Record 1
This entry pairs a crystal structure of Y6ZnIn3 with its theoretical X-ray diffraction stick pattern. Radiation: Cu Kα. Structure: a crystal structure in Alexandria, relaxed with GGA-PBE.
No peak broadening, texture or thermal motion is included.

The 10 most intense peaks (2θ = 10–80°), most intense first:
(hkl)  d (Å)  2θ (°)  I/Imax
1 1 3  2.659  33.71  100
0 2 0  2.647  33.86  31
2 0 -4  2.774  32.28  19
1 3 3  1.531  60.49  18
2 2 -4  1.915  47.48  13
2 1 -4  2.457  36.58  10
4 2 2  1.515  61.18  9
4 0 2  1.847  49.33  9
2 1 -3  2.865  31.22  7
3 0 -1  3.075  29.04  6

Cell and atoms:
a b c (Å): 9.2331 5.2943 11.6984
angles (deg): 90.00 108.43 90.00
Space group P2_1/m (No. 11)
Inequivalent atoms, fractional coordinates:
Y (0.0321, 0.2500, 0.4115) (multiplicity 2)
Y (0.1689, 0.7500, 0.1697) (multiplicity 2)
Y (0.2657, 0.2500, 0.0031) (multiplicity 2)
Y (0.3521, 0.7500, 0.8209) (multiplicity 2)
Y (0.3647, 0.2500, 0.3357) (multiplicity 2)
Y (0.3983, 0.2500, 0.6292) (multiplicity 2)
Zn (0.4586, 0.7500, 0.1021) (multiplicity 2)
In (0.0272, 0.7500, 0.8821) (multiplicity 2)
In (0.1204, 0.2500, 0.7208) (multiplicity 2)
In (0.2758, 0.7500, 0.4691) (multiplicity 2)

Record 2
This entry pairs a crystal structure of ScCu2Br6 with its theoretical X-ray diffraction stick pattern. Radiation: Cu Kα. Structure: a crystal structure in Alexandria, relaxed with GGA-PBE.
No peak broadening, texture or thermal motion is included.

The 10 most intense peaks (2θ = 10–80°), most intense first:
(hkl)  d (Å)  2θ (°)  I/Imax
3 3 -1  3.100  28.80  100
2 0 0  6.897  12.84  84
4 0 0  3.448  25.84  70
2 0 -2  3.386  26.32  52
2 0 2  2.553  35.16  48
1 1 -1  5.964  14.85  43
1 3 1  3.242  27.51  38
5 3 1  1.982  45.77  34
6 0 0  2.298  39.20  33
1 1 1  4.731  18.76  28

Cell and atoms:
a b c (Å): 14.7995 12.5899 6.8089
angles (deg): 90.00 111.24 90.00
Space group C2/c (No. 15)
Inequivalent atoms, fractional coordinates:
Sc (0.0000, 0.0810, 0.2500) (multiplicity 4)
Cu (0.0681, 0.4054, 0.1567) (multiplicity 8)
Br (0.1115, 0.0661, 0.6563) (multiplicity 8)
Br (0.1121, 0.4290, 0.5433) (multiplicity 8)
Br (0.1142, 0.2238, 0.1669) (multiplicity 8)

Record 3
This entry pairs a crystal structure of TaTi4C4 with its theoretical X-ray diffraction stick pattern. Radiation: Cu Kα. Structure: a crystal structure in Alexandria, relaxed with GGA-PBE.
No peak broadening, texture or thermal motion is included.

The 10 most intense peaks (2θ = 10–80°), most intense first:
(hkl)  d (Å)  2θ (°)  I/Imax
1 2 1  2.519  35.65  100
1 0 1  3.664  24.30  54
3 1 0  2.193  41.16  52
3 1 2  1.538  60.16  32
1 1 0  4.904  18.09  25
5 0 1  1.321  71.43  25
0 0 2  2.157  41.88  22
2 4 0  1.551  59.61  15
2 4 2  1.259  75.50  15
2 0 0  3.468  25.69  13

Cell and atoms:
a b c (Å): 6.9359 6.9359 4.3145
angles (deg): 90.00 90.00 90.00
Space group I4/m (No. 87)
Inequivalent atoms, fractional coordinates:
Ta (0.0000, 0.0000, 0.0000) (multiplicity 2)
Ti (0.1104, 0.6856, 0.5000) (multiplicity 8)
C (0.0989, 0.7012, 0.0000) (multiplicity 8)